(1)
Structure and theoretical X-ray powder pattern of HoIn2Te4 (DFT lattice parameters and positions (PBE); Cu Ka).

Structure:
Unit cell a=8.3021 b=8.3021 c=7.4988 alpha=90.00 beta=90.00 gamma=90.00
Space group I4/m (No. 87)
Symmetry-distinct sites (fractional):
Ho 0.0000 0.0000 0.0000 (multiplicity 2)
In 0.0000 0.5000 0.2500 (multiplicity 4)
Te 0.1898 0.3060 0.5000 (multiplicity 8)

Principal peaks in the range 10° ≤ 2θ ≤ 80°, sorted by position:
| 2theta | Rel. int. | hkl |
| --- | --- | --- |
| 15.9 | 33.5 | 1 0 1 |
| 23.7 | 24.5 | 0 0 2 |
| 26.8 | 100.0 | 2 1 1 |
| 28.2 | 39.1 | 1 1 2 |
| 30.5 | 65.2 | 2 2 0 |
| 32.2 | 48.7 | 2 0 2 |
| 42.0 | 73.4 | 1 3 2 |
| 43.6 | 37.6 | 2 1 3 |
| 46.7 | 41.2 | 1 4 1 |
| 58.4 | 20.1 | 2 2 4 |
| 58.9 | 20.5 | 1 4 3 |
| 70.8 | 33.7 | 3 5 2 |

---

(2)
Structure and theoretical X-ray powder pattern of Ho3ThIn2 (DFT lattice parameters and positions (PBE); Cu Ka).

Structure:
Unit cell a=3.5941 b=3.5941 c=12.9598 alpha=90.00 beta=90.00 gamma=90.00
Space group P4/mmm (No. 123)
Symmetry-distinct sites (fractional):
Ho 0.0000 0.0000 0.0000 (multiplicity 1)
Ho 0.0000 0.0000 0.3162 (multiplicity 2)
Th 0.5000 0.5000 0.5000 (multiplicity 1)
In 0.5000 0.5000 0.1588 (multiplicity 2)

Principal peaks in the range 10° ≤ 2θ ≤ 80°, sorted by position:
| 2theta | Rel. int. | hkl |
| --- | --- | --- |
| 25.7 | 3.3 | 1 0 1 |
| 28.4 | 5.4 | 1 0 2 |
| 32.4 | 100.0 | 1 0 3 |
| 35.3 | 41.4 | 1 1 0 |
| 41.8 | 11.0 | 0 0 6 |
| 50.8 | 14.8 | 2 0 0 |
| 55.9 | 20.9 | 1 1 6 |
| 61.6 | 31.8 | 2 1 3 |
| 62.9 | 3.6 | 1 0 8 |
| 67.8 | 10.5 | 2 0 6 |
| 70.4 | 7.6 | 1 0 9 |
| 74.7 | 4.7 | 2 2 0 |